Entry 1:
Starting from a cell relaxed with PBE, the powder X-ray diffraction pattern of Sm3Y8 was simulated for CuKα.
Lines closer than 0.1° are merged.

Atomic structure:
```
data_Sm3Y8
_chemical_formula_sum 'Sm9 Y24'
_cell_length_a 3.5895
_cell_length_b 3.5895
_cell_length_c 96.2722
_cell_angle_alpha 90.00
_cell_angle_beta 90.00
_cell_angle_gamma 120.00
_space_group_name_H-M_alt 'R -3 m'
_space_group_IT_number 166
_space_group_name_Hall '-R 3 2"'
loop_
_atom_site_label
_atom_site_type_symbol
_atom_site_fract_x
_atom_site_fract_y
_atom_site_fract_z
_atom_site_occupancy
Sm1 Sm 0.0000 0.0000 0.0000 1
Sm2 Sm 0.0000 0.0000 0.2726 1
Y1 Y 0.0000 0.0000 0.0911 1
Y2 Y 0.0000 0.0000 0.1818 1
Y3 Y 0.0000 0.0000 0.3637 1
Y4 Y 0.0000 0.0000 0.4546 1
```

Most intense lines, 10 to 80 degrees two-theta, in order of falling intensity:
d/Å  I_rel  hkl
2.929  100  0 1 11
2.534  67  1 0 22
1.529  41  2 0 11
2.917  33  0 0 33
1.795  24  1 1 0
1.789  23  0 1 44
1.525  14  1 0 55
1.465  12  0 2 22
1.267  7  2 0 44
1.459  4  0 0 66



Entry 2:
Starting from a cell relaxed with PBE, the powder X-ray diffraction pattern of Sm5Y6 was simulated for CuKα.
Lines closer than 0.1° are merged.

Atomic structure:
```
data_Sm5Y6
_chemical_formula_sum 'Sm10 Y12'
_cell_length_a 9.203
_cell_length_b 13.057
_cell_length_c 6.429
_cell_angle_alpha 90.00
_cell_angle_beta 107.35
_cell_angle_gamma 90.00
_space_group_name_H-M_alt 'C 1 2/m 1'
_space_group_IT_number 12
_space_group_name_Hall '-C 2y'
loop_
_atom_site_label
_atom_site_type_symbol
_atom_site_fract_x
_atom_site_fract_y
_atom_site_fract_z
_atom_site_occupancy
Sm1 Sm 0.000 0.000 0.000 1
Sm2 Sm 0.000 0.128 0.500 1
Sm3 Sm 0.000 0.260 0.000 1
Y1 Y 0.165 0.500 0.188 1
Y2 Y 0.178 0.368 0.671 1
```

Most intense lines, 10 to 80 degrees two-theta, in order of falling intensity:
d/Å  I_rel  hkl
2.882  100  0 4 1
2.964  93  2 0 -2
2.581  77  2 4 -1
3.111  68  1 3 1
2.857  59  3 1 0
2.607  46  1 1 2
2.479  33  3 3 -1
4.392  28  2 0 0
1.773  25  2 4 -3
1.489  24  2 4 3



Entry 3:
Starting from a cell relaxed with PBE, the powder X-ray diffraction pattern of SmY4 was simulated for CuKα.
Lines closer than 0.1° are merged.

Atomic structure:
```
data_SmY4
_chemical_formula_sum 'Sm2 Y8'
_cell_length_a 6.207
_cell_length_b 3.586
_cell_length_c 14.716
_cell_angle_alpha 90.00
_cell_angle_beta 97.96
_cell_angle_gamma 90.00
_space_group_name_H-M_alt 'C 1 2/m 1'
_space_group_IT_number 12
_space_group_name_Hall '-C 2y'
loop_
_atom_site_label
_atom_site_type_symbol
_atom_site_fract_x
_atom_site_fract_y
_atom_site_fract_z
_atom_site_occupancy
Sm1 Sm 0.000 0.000 0.000 1
Y1 Y 0.100 0.500 0.799 1
Y2 Y 0.200 0.000 0.600 1
```

Most intense lines, 10 to 80 degrees two-theta, in order of falling intensity:
d/Å  I_rel  hkl
2.926  100  2 0 1
2.531  67  1 1 3
2.915  33  0 0 5
1.528  32  3 1 4
1.792  23  0 2 0
1.787  23  2 0 6
1.525  18  1 1 8
1.463  12  4 0 2
1.266  5  2 2 6
1.522  4  2 0 -9



Entry 4:
Starting from a cell relaxed with PBE, the powder X-ray diffraction pattern of Sm3Y was simulated for CuKα.
Lines closer than 0.1° are merged.

Atomic structure:
```
data_Sm3Y
_chemical_formula_sum 'Sm3 Y1'
_cell_length_a 3.618
_cell_length_b 5.105
_cell_length_c 7.224
_cell_angle_alpha 90.00
_cell_angle_beta 90.07
_cell_angle_gamma 90.00
_space_group_name_H-M_alt 'P 1 2/m 1'
_space_group_IT_number 10
_space_group_name_Hall '-P 2y'
loop_
_atom_site_label
_atom_site_type_symbol
_atom_site_fract_x
_atom_site_fract_y
_atom_site_fract_z
_atom_site_occupancy
Sm1 Sm 0.000 0.000 0.000 1
Sm2 Sm 0.500 0.500 0.250 1
Y1 Y 0.000 0.000 0.500 1
```

Most intense lines, 10 to 80 degrees two-theta, in order of falling intensity:
d/Å  I_rel  hkl
2.950  100  1 1 0
2.555  51  1 0 2
1.807  24  2 0 0
1.542  21  2 1 2
1.540  21  1 3 0
1.475  12  2 2 0
1.806  12  1 2 2
1.277  4  2 0 4
7.224  2  0 0 1
1.279  2  2 0 -4



Entry 5:
Starting from a cell relaxed with PBE, the powder X-ray diffraction pattern of Sm3Y5 was simulated for CuKα.
Lines closer than 0.1° are merged.

Atomic structure:
```
data_Sm3Y5
_chemical_formula_sum 'Sm3 Y5'
_cell_length_a 3.661
_cell_length_b 5.725
_cell_length_c 12.690
_cell_angle_alpha 90.00
_cell_angle_beta 90.00
_cell_angle_gamma 90.00
_space_group_name_H-M_alt 'P m m 2'
_space_group_IT_number 25
_space_group_name_Hall 'P 2 -2'
loop_
_atom_site_label
_atom_site_type_symbol
_atom_site_fract_x
_atom_site_fract_y
_atom_site_fract_z
_atom_site_occupancy
Sm1 Sm 0.000 0.000 0.000 1
Sm2 Sm 0.000 0.500 0.171 1
Sm3 Sm 0.500 0.000 0.251 1
Y1 Y 0.000 0.000 0.503 1
Y2 Y 0.000 0.500 0.667 1
Y3 Y 0.500 0.000 0.751 1
Y4 Y 0.500 0.500 0.420 1
Y5 Y 0.500 0.500 0.916 1
```

Most intense lines, 10 to 80 degrees two-theta, in order of falling intensity:
d/Å  I_rel  hkl
2.774  100  1 1 2
3.172  24  0 0 4
2.863  24  0 2 0
1.543  22  2 2 0
1.635  20  1 3 2
1.831  19  2 0 0
1.528  16  0 1 8
2.125  16  0 2 4
1.220  7  0 3 8
1.387  4  2 2 4



Entry 6:
Starting from a cell relaxed with PBE, the powder X-ray diffraction pattern of SmY4 was simulated for CuKα.
Lines closer than 0.1° are merged.

Atomic structure:
```
data_SmY4
_chemical_formula_sum 'Sm2 Y8'
_cell_length_a 5.476
_cell_length_b 16.833
_cell_length_c 3.540
_cell_angle_alpha 90.00
_cell_angle_beta 90.00
_cell_angle_gamma 90.00
_space_group_name_H-M_alt 'C m m m'
_space_group_IT_number 65
_space_group_name_Hall '-C 2 2'
loop_
_atom_site_label
_atom_site_type_symbol
_atom_site_fract_x
_atom_site_fract_y
_atom_site_fract_z
_atom_site_occupancy
Sm1 Sm 0.000 0.000 0.000 1
Y1 Y 0.000 0.200 0.000 1
Y2 Y 0.000 0.390 0.500 1
```

Most intense lines, 10 to 80 degrees two-theta, in order of falling intensity:
d/Å  I_rel  hkl
2.868  100  1 5 0
2.928  99  1 1 1
2.709  47  0 4 1
2.738  45  2 0 0
1.926  34  2 4 1
1.506  27  1 5 2
1.583  19  1 9 1
1.615  18  3 1 1
2.199  17  0 6 1
1.605  17  3 5 0